Starting from DFT lattice parameters and positions (GGA-PBE), the powder diffractogram of YTmRu was calculated for Cu Kα.
Lines closer than 0.1° are merged.

Cell and atoms:
```
YTmRu
1.0
-4.2033 6.5867 3.8042
4.2033 -6.5867 3.8042
4.2033 6.5867 -3.8042
Y Tm Ru
6 6 6
Cartesian
2.1017 0.0074 0.0000
2.1017 3.8724 -0.8953
2.1017 -2.7087 2.9072
2.1017 9.2954 -0.8970
2.1017 2.7143 2.9089
2.1017 6.5793 3.8042
0.0000 0.0000 2.5333
4.2033 0.0000 2.5333
-0.0042 4.9050 1.6420
4.2075 4.9050 1.6420
0.0042 8.2684 1.6420
-0.0042 1.6817 5.4462
-0.0096 2.1945 0.6712
4.2129 2.1945 0.6712
2.1017 6.5797 0.6706
2.1017 0.0070 4.4748
0.0096 10.9789 0.6712
-0.0096 4.3922 4.4754
```

Main lines, sorted by position (2θ = 10–90°):
2θ/deg, Rel. int.
31.73, 100
34.60, 86
36.07, 60
41.10, 34
42.18, 51
65.65, 36